Entry 1:
The following is a theoretical powder diffractogram of Li4CaTe. It was derived from a structure optimized by DFT (PBE), using Cu Kα.

```
Li4CaTe
1.0
0.000 4.103 4.103
4.103 0.000 4.103
4.103 4.103 0.000
Li Ca Te
4 1 1
Direct
0.124 0.124 0.124
0.124 0.124 0.627
0.124 0.627 0.124
0.627 0.124 0.124
0.500 0.500 0.500
0.750 0.750 0.750
```

Peak list (8 most intense, 2θ from 10° to 90°, low angle first)
2theta  d (Å)  I_rel
18.7  4.737  100
21.7  4.103  23
30.8  2.901  82
36.3  2.474  74
48.4  1.882  24
54.8  1.675  31
58.4  1.579  24
67.5  1.387  18



Entry 2:
The following is a theoretical powder diffractogram of Li4HfTe4. It was derived from a structure optimized by DFT (PBE), using Cu Kα.

```
Li4HfTe4
1.0
-3.329 3.329 6.360
3.329 -3.329 6.360
3.329 3.329 -6.360
Li Hf Te
4 1 4
Direct
0.000 0.500 0.500
0.234 0.234 0.000
0.500 0.000 0.500
0.766 0.766 0.000
0.500 0.500 0.000
0.141 0.610 0.000
0.390 0.390 0.531
0.610 0.141 0.000
0.859 0.859 0.469
```

Peak list (8 most intense, 2θ from 10° to 90°, low angle first)
2theta  d (Å)  I_rel
15.0  5.898  46
23.5  3.784  100
38.2  2.354  24
39.2  2.299  46
45.4  1.999  32
47.0  1.933  21
62.1  1.494  13
69.8  1.348  15